The following is a computed powder X-ray diffraction pattern of Lu2TiO5. It was derived from a cell relaxed with GGA-PBE, using CuKα.
Lines closer than 0.1° are merged.

Unit cell a=4.036 b=10.743 c=10.361 alpha=90.00 beta=90.00 gamma=90.00
Space group Cmcm (No. 63)
Inequivalent atoms, fractional coordinates:
1 Lu 0.000 0.143 0.068 [8 per cell]
2 Ti 0.000 0.176 0.750 [4 per cell]
3 O 0.000 0.051 0.623 [8 per cell]
4 O 0.000 0.268 0.250 [4 per cell]
5 O 0.000 0.294 0.588 [8 per cell]

Largest 10 diffraction maxima, by angle, 2θ = 5–70°:
two_theta  d/Å  I_rel  (hkl)
17.1  5.180  46  0 0 2
23.5  3.778  98  1 1 0
30.8  2.905  100  0 2 3
33.4  2.681  80  1 3 0
35.2  2.549  62  1 1 3
37.8  2.382  36  0 4 2
42.7  2.118  32  0 4 3
44.9  2.018  29  2 0 0
55.3  1.662  43  1 5 3
55.4  1.657  38  2 2 3